1.
For Tm5Si3, a cell relaxed with PBE gives the simulated X-ray diffraction stick pattern in this record (Cu Ka).
Peak positions follow from Bragg's law for the DFT cell and can differ from measured ones.

Cell and atoms:
Lattice parameters (Å, degrees): 7.475 7.475 13.195 90.00 90.00 90.00
Space group I4/mcm (No. 140)
Unique sites:
Tm (0.000, 0.000, 0.000) (multiplicity 4)
Tm (0.167, 0.333, 0.145) (multiplicity 16)
Si (0.000, 0.000, 0.250) (multiplicity 4)
Si (0.130, 0.370, 0.500) (multiplicity 8)

Peak list (6 most intense, 10° ≤ 2θ ≤ 80°, low angle first)
h k l	Position (°2θ)	d/Å	I/Imax
2 1 1	27.50	3.243	62
1 1 4	31.98	2.798	22
2 1 3	33.68	2.661	100
2 0 4	36.32	2.473	38
3 1 0	38.07	2.364	44
4 1 3	54.77	1.676	22

2.
For TmZn11Si, a cell relaxed with PBE gives the simulated X-ray diffraction stick pattern in this record (Cu Ka).
Peak positions follow from Bragg's law for the DFT cell and can differ from measured ones.

Cell and atoms:
Lattice parameters (Å, degrees): 5.209 12.619 6.727 90.00 112.32 90.00
Space group C2/m (No. 12)
Unique sites:
Tm (0.000, 0.000, 0.000) (multiplicity 2)
Zn (0.000, 0.500, 0.500) (multiplicity 2)
Zn (0.102, 0.393, 0.213) (multiplicity 8)
Zn (0.178, 0.178, 0.354) (multiplicity 8)
Zn (0.250, 0.250, 0.000) (multiplicity 4)
Si (0.000, 0.000, 0.500) (multiplicity 2)

Peak list (6 most intense, 10° ≤ 2θ ≤ 80°, low angle first)
h k l	Position (°2θ)	d/Å	I/Imax
1 3 1	34.83	2.576	47
2 2 0	40.06	2.251	48
2 2 -2	40.30	2.238	78
1 5 -1	40.39	2.233	45
0 4 2	40.71	2.216	100
1 1 -3	40.94	2.205	43

3.
For Tm2Zr3Si4, a cell relaxed with PBE gives the simulated X-ray diffraction stick pattern in this record (Cu Ka).
Peak positions follow from Bragg's law for the DFT cell and can differ from measured ones.

Cell and atoms:
Lattice parameters (Å, degrees): 7.285 7.293 7.080 90.00 108.06 90.00
Space group P2_1/c (No. 14)
Unique sites:
Tm (0.193, 0.173, 0.075) (multiplicity 4)
Zr (0.251, 0.682, 0.249) (multiplicity 4)
Zr (0.500, 0.000, 0.500) (multiplicity 2)
Si (0.081, 0.530, 0.870) (multiplicity 4)
Si (0.490, 0.123, 0.872) (multiplicity 4)

Peak list (6 most intense, 10° ≤ 2θ ≤ 80°, low angle first)
h k l	Position (°2θ)	d/Å	I/Imax
1 2 1	32.46	2.759	29
2 1 -2	33.19	2.699	29
1 1 2	35.25	2.546	100
2 2 0	35.72	2.514	56
0 3 1	39.41	2.287	35
1 1 -3	40.17	2.245	27

4.
For U3Si, a cell relaxed with PBE gives the simulated X-ray diffraction stick pattern in this record (Cu Ka).
Peak positions follow from Bragg's law for the DFT cell and can differ from measured ones.

Cell and atoms:
Lattice parameters (Å, degrees): 5.988 5.988 8.531 90.00 90.00 90.00
Space group I4/mcm (No. 140)
Unique sites:
U (0.000, 0.500, 0.250) (multiplicity 4)
U (0.221, 0.279, 0.000) (multiplicity 8)
Si (0.000, 0.000, 0.250) (multiplicity 4)

Peak list (6 most intense, 10° ≤ 2θ ≤ 80°, low angle first)
h k l	Position (°2θ)	d/Å	I/Imax
1 1 0	20.98	4.234	19
2 0 2	36.67	2.451	100
0 0 4	42.38	2.133	18
2 2 0	42.71	2.117	30
2 2 4	61.74	1.502	21
4 2 2	74.24	1.277	19

5.
For USi4, a cell relaxed with PBE gives the simulated X-ray diffraction stick pattern in this record (Cu Ka).
Peak positions follow from Bragg's law for the DFT cell and can differ from measured ones.

Cell and atoms:
Lattice parameters (Å, degrees): 5.216 5.216 5.216 90.00 90.00 90.00
Space group Pm-3m (No. 221)
Unique sites:
U (0.000, 0.000, 0.000) (multiplicity 1)
Si (0.000, 0.000, 0.500) (multiplicity 3)
Si (0.500, 0.500, 0.500) (multiplicity 1)

Peak list (6 most intense, 10° ≤ 2θ ≤ 80°, low angle first)
h k l	Position (°2θ)	d/Å	I/Imax
1 0 0	17.00	5.216	100
1 1 0	24.13	3.688	89
2 0 0	34.39	2.608	42
2 1 0	38.60	2.333	54
2 1 1	42.45	2.129	42
2 2 0	49.42	1.844	30

6.
For U2Si4W3, a cell relaxed with PBE gives the simulated X-ray diffraction stick pattern in this record (Cu Ka).
Peak positions follow from Bragg's law for the DFT cell and can differ from measured ones.

Cell and atoms:
Lattice parameters (Å, degrees): 6.871 6.897 6.750 90.00 109.82 90.00
Space group P2_1/c (No. 14)
Unique sites:
U (0.186, 0.165, 0.057) (multiplicity 4)
Si (0.089, 0.544, 0.869) (multiplicity 4)
Si (0.499, 0.633, 0.633) (multiplicity 4)
W (0.245, 0.663, 0.253) (multiplicity 4)
W (0.500, 0.000, 0.500) (multiplicity 2)

Peak list (6 most intense, 10° ≤ 2θ ≤ 80°, low angle first)
h k l	Position (°2θ)	d/Å	I/Imax
1 1 -2	29.78	3.000	56
2 1 -2	34.70	2.585	85
2 2 -1	37.25	2.414	100
1 1 2	37.87	2.376	91
0 3 1	41.79	2.162	57
1 1 -3	42.25	2.139	58

7.
For V7Si, a cell relaxed with PBE gives the simulated X-ray diffraction stick pattern in this record (Cu Ka).
Peak positions follow from Bragg's law for the DFT cell and can differ from measured ones.

Cell and atoms:
Lattice parameters (Å, degrees): 4.233 4.233 11.896 90.00 90.00 90.00
Space group I4/mmm (No. 139)
Unique sites:
V (0.000, 0.000, 0.000) (multiplicity 2)
V (0.000, 0.000, 0.252) (multiplicity 4)
V (0.000, 0.500, 0.128) (multiplicity 8)
Si (0.000, 0.000, 0.500) (multiplicity 2)

Peak list (6 most intense, 10° ≤ 2θ ≤ 80°, low angle first)
h k l	Position (°2θ)	d/Å	I/Imax
2 0 0	42.72	2.116	51
1 1 4	42.87	2.110	100
2 2 0	62.01	1.497	15
0 0 8	62.46	1.487	7
3 1 4	78.33	1.221	29
2 0 8	78.63	1.217	14

8.
For V6Si5, a cell relaxed with PBE gives the simulated X-ray diffraction stick pattern in this record (Cu Ka).
Peak positions follow from Bragg's law for the DFT cell and can differ from measured ones.

Cell and atoms:
Lattice parameters (Å, degrees): 7.474 15.913 4.844 90.00 90.00 90.00
Space group Ibam (No. 72)
Unique sites:
V (0.000, 0.190, 0.250) (multiplicity 8)
V (0.113, 0.357, 0.000) (multiplicity 8)
V (0.247, 0.065, 0.000) (multiplicity 8)
Si (0.000, 0.500, 0.250) (multiplicity 4)
Si (0.090, 0.064, 0.500) (multiplicity 8)
Si (0.202, 0.286, 0.500) (multiplicity 8)

Peak list (6 most intense, 10° ≤ 2θ ≤ 80°, low angle first)
h k l	Position (°2θ)	d/Å	I/Imax
3 3 0	39.98	2.255	53
1 6 1	40.62	2.221	53
2 6 0	41.71	2.165	89
3 2 1	42.35	2.134	99
1 3 2	42.79	2.113	100
2 0 2	44.58	2.033	53

Please write out number 5 again, unchanged.
For USi4, a cell relaxed with PBE gives the simulated X-ray diffraction stick pattern in this record (Cu Ka).
Peak positions follow from Bragg's law for the DFT cell and can differ from measured ones.

Cell and atoms:
Lattice parameters (Å, degrees): 5.216 5.216 5.216 90.00 90.00 90.00
Space group Pm-3m (No. 221)
Unique sites:
U (0.000, 0.000, 0.000) (multiplicity 1)
Si (0.000, 0.000, 0.500) (multiplicity 3)
Si (0.500, 0.500, 0.500) (multiplicity 1)

Peak list (6 most intense, 10° ≤ 2θ ≤ 80°, low angle first)
h k l	Position (°2θ)	d/Å	I/Imax
1 0 0	17.00	5.216	100
1 1 0	24.13	3.688	89
2 0 0	34.39	2.608	42
2 1 0	38.60	2.333	54
2 1 1	42.45	2.129	42
2 2 0	49.42	1.844	30